(1)
# NdYTeC
Computed powder XRD pattern, Cu Kα X-rays. Input: a cell relaxed with GGA-PBE.
Intensities are scaled so that the largest is 100.

Crystal structure
Cell: 3.8906 3.8906 21.7252 Å, 90.00 90.00 120.00°
Positions (direct):
1 Nd 0.0000 0.0000 0.0000
2 Nd 0.3333 0.6667 0.6667
3 Nd 0.6667 0.3333 0.3333
4 Y 0.0000 0.0000 0.2077
5 Y 0.3333 0.6667 0.8744
6 Y 0.6667 0.3333 0.5410
7 Te 0.0000 0.0000 0.7748
8 Te 0.3333 0.6667 0.4415
9 Te 0.6667 0.3333 0.1081
10 C 0.0000 0.0000 0.6018
11 C 0.3333 0.6667 0.2685
12 C 0.6667 0.3333 0.9351

Top 10 peaks for 2θ = 10–90°, by angle:
d [Å]  two_theta  I/Imax
3.330  26.78  54
2.863  31.24  84
2.663  33.66  100
2.414  37.25  24
1.945  46.69  47
1.826  49.95  17
1.609  57.26  15
1.571  58.79  20
1.515  61.19  34
1.222  78.22  17


(2)
# Nd3ThC8
Computed powder XRD pattern, Cu Kα X-rays. Input: a cell relaxed with GGA-PBE.
Intensities are scaled so that the largest is 100.

Crystal structure
Cell: 6.4502 6.4485 7.1925 Å, 56.12 56.10 67.78°
Positions (direct):
1 Nd 0.0000 0.0000 0.0000
2 Nd 0.2508 0.2508 0.2492
3 Nd 0.7508 0.7508 0.7492
4 Th 0.5001 0.5001 0.4999
5 C 0.1006 0.6304 0.8994
6 C 0.1098 0.4303 0.8902
7 C 0.3698 0.8980 0.1020
8 C 0.4303 0.1098 0.5697
9 C 0.5701 0.8896 0.1104
10 C 0.6304 0.1006 0.3696
11 C 0.8896 0.5701 0.4299
12 C 0.8980 0.3698 0.6302

Top 10 peaks for 2θ = 10–90°, by angle:
d [Å]  two_theta  I/Imax
3.596  24.76  59
3.127  28.54  100
2.543  35.30  34
1.973  46.00  60
1.736  52.71  20
1.608  57.28  14
1.564  59.08  13
1.559  59.28  12
1.329  70.91  16
1.249  76.22  14


(3)
# Nd6Tl2C
Computed powder XRD pattern, Cu Kα X-rays. Input: a cell relaxed with GGA-PBE.
Intensities are scaled so that the largest is 100.

Crystal structure
Cell: 7.1953 7.1953 7.1953 Å, 60.00 60.00 60.00°
Positions (direct):
1 Nd 0.2446 0.2446 0.7554
2 Nd 0.2446 0.7554 0.2446
3 Nd 0.2446 0.7554 0.7554
4 Nd 0.7554 0.2446 0.2446
5 Nd 0.7554 0.2446 0.7554
6 Nd 0.7554 0.7554 0.2446
7 Tl 0.2500 0.2500 0.2500
8 Tl 0.7500 0.7500 0.7500
9 C 0.0000 0.0000 0.0000

Top 10 peaks for 2θ = 10–90°, by angle:
d [Å]  two_theta  I/Imax
5.088  17.43  2
3.598  24.75  2
2.937  30.43  100
2.544  35.28  52
1.799  50.75  37
1.534  60.34  43
1.469  63.32  13
1.272  74.61  6
1.167  82.67  18
1.138  85.32  17


(4)
# NdTmC
Computed powder XRD pattern, Cu Kα X-rays. Input: a cell relaxed with GGA-PBE.
Intensities are scaled so that the largest is 100.

Crystal structure
Cell: 3.6328 4.9890 7.9372 Å, 90.00 90.00 90.00°
Positions (direct):
1 Nd 0.2500 0.2500 0.1645
2 Nd 0.7500 0.7500 0.8355
3 Tm 0.2500 0.2500 0.5916
4 Tm 0.7500 0.7500 0.4084
5 C 0.2500 0.7500 0.6189
6 C 0.7500 0.2500 0.3811

Top 10 peaks for 2θ = 10–90°, by angle:
d [Å]  two_theta  I/Imax
7.937  11.15  33
3.106  28.74  92
2.937  30.44  100
2.680  33.44  73
2.494  36.00  37
1.826  49.95  47
1.816  50.24  18
1.568  58.90  25
1.512  61.30  19
1.468  63.34  14


(5)
# Nd3TmC8
Computed powder XRD pattern, Cu Kα X-rays. Input: a cell relaxed with GGA-PBE.
Intensities are scaled so that the largest is 100.

Crystal structure
Cell: 6.3929 6.3929 6.3929 Å, 110.79 110.79 106.86°
Positions (direct):
1 Nd 0.0000 0.0000 0.0000
2 Nd 0.2500 0.7500 0.5000
3 Nd 0.7500 0.2500 0.5000
4 Tm 0.5000 0.5000 0.0000
5 C 0.1145 0.6411 0.0000
6 C 0.1246 0.4424 0.0000
7 C 0.3589 0.3589 0.4733
8 C 0.4424 0.1246 0.0000
9 C 0.5576 0.5576 0.6823
10 C 0.6411 0.1145 0.0000
11 C 0.8754 0.8754 0.3177
12 C 0.8855 0.8855 0.5267

Top 10 peaks for 2θ = 10–90°, by angle:
d [Å]  two_theta  I/Imax
3.631  24.52  63
3.059  29.19  100
2.567  34.95  37
1.966  46.16  63
1.686  54.40  20
1.624  56.69  15
1.561  59.19  13
1.530  60.53  12
1.334  70.62  16
1.236  77.21  14


(6)
# Nd2WC2
Computed powder XRD pattern, Cu Kα X-rays. Input: a cell relaxed with GGA-PBE.
Intensities are scaled so that the largest is 100.

Crystal structure
Cell: 5.8318 5.8318 10.4240 Å, 90.00 90.00 90.00°
Positions (direct):
1 Nd 0.1967 0.1967 0.1565
2 Nd 0.1967 0.1967 0.8435
3 Nd 0.3033 0.6967 0.3435
4 Nd 0.3033 0.6967 0.6565
5 Nd 0.6967 0.3033 0.3435
6 Nd 0.6967 0.3033 0.6565
7 Nd 0.8033 0.8033 0.1565
8 Nd 0.8033 0.8033 0.8435
9 W 0.1769 0.1769 0.5000
10 W 0.3231 0.6769 0.0000
11 W 0.6769 0.3231 0.0000
12 W 0.8231 0.8231 0.5000
13 C 0.0000 0.0000 0.3570
14 C 0.0000 0.0000 0.6430
15 C 0.0000 0.5000 0.0000
16 C 0.0000 0.5000 0.5000
17 C 0.5000 0.0000 0.0000
18 C 0.5000 0.0000 0.5000
19 C 0.5000 0.5000 0.1430
20 C 0.5000 0.5000 0.8570

Top 10 peaks for 2θ = 10–90°, by angle:
d [Å]  two_theta  I/Imax
2.985  29.93  23
2.916  30.66  40
2.657  33.73  100
2.608  34.39  53
1.737  52.68  11
1.696  54.06  30
1.466  63.44  18
1.446  64.44  16
1.414  66.06  16
1.097  89.31  14


(7)
# Nd2Y4C
Computed powder XRD pattern, Cu Kα X-rays. Input: a cell relaxed with GGA-PBE.
Intensities are scaled so that the largest is 100.

Crystal structure
Cell: 18.2502 18.2502 18.2502 Å, 11.38 11.38 11.38°
Positions (direct):
1 Nd 0.2457 0.2457 0.2457
2 Nd 0.7543 0.7543 0.7543
3 Y 0.1401 0.1401 0.1401
4 Y 0.3581 0.3581 0.3581
5 Y 0.6419 0.6419 0.6419
6 Y 0.8599 0.8599 0.8599
7 C 0.0000 0.0000 0.0000

Top 10 peaks for 2θ = 10–90°, by angle:
d [Å]  two_theta  I/Imax
3.114  28.67  52
3.022  29.56  47
2.847  31.43  100
2.716  32.98  97
2.054  44.08  22
1.810  50.42  39
1.651  55.66  20
1.553  59.54  38
1.527  60.63  15
1.506  61.58  16


(8)
# Ni5C3
Computed powder XRD pattern, Cu Kα X-rays. Input: a cell relaxed with GGA-PBE.
Intensities are scaled so that the largest is 100.

Crystal structure
Cell: 5.8699 5.8699 5.8699 Å, 100.41 100.41 129.70°
Positions (direct):
1 Ni 0.0000 0.5000 0.5000
2 Ni 0.0412 0.1847 0.7279
3 Ni 0.1847 0.4569 0.1435
4 Ni 0.3133 0.0412 0.8565
5 Ni 0.4569 0.3133 0.2721
6 Ni 0.5000 0.0000 0.5000
7 Ni 0.5412 0.8133 0.8565
8 Ni 0.6847 0.5412 0.7279
9 Ni 0.8133 0.9569 0.2721
10 Ni 0.9569 0.6847 0.1435
11 C 0.0955 0.9062 0.5000
12 C 0.4062 0.5955 0.5000
13 C 0.4995 0.4995 0.0000
14 C 0.5955 0.0955 0.1893
15 C 0.9062 0.4062 0.8107
16 C 0.9995 0.9995 0.0000

Top 10 peaks for 2θ = 10–90°, by angle:
d [Å]  two_theta  I/Imax
2.787  32.11  33
2.495  36.00  54
2.376  37.86  61
2.258  39.92  48
2.078  43.55  32
1.923  47.27  79
1.819  50.16  98
1.712  53.53  100
1.269  74.83  26
1.228  77.74  30